# HoZnSn2O6
Simulated X-ray powder pattern, copper Kα. Input: a GGA-PBE-relaxed structure.

The 10 most intense peaks (10° ≤ 2θ ≤ 80°), in order of rising 2θ:
2theta, I/Imax, index
26.6, 126, 2 1 0
29.9, 179, 0 2 0
31.3, 1000, 2 1 1
32.6, 246, 0 0 2
34.1, 187, 0 2 1
44.8, 147, 0 2 2
44.9, 140, 4 0 0
51.1, 118, 2 3 0
56.6, 127, 4 0 2
57.3, 238, 2 1 3

Crystal structure
```
data_HoZnSn2O6
_chemical_formula_sum 'Ho2 Zn2 Sn4 O12'
_symmetry_space_group_name_H-M 'P m n 21'
_symmetry_Int_Tables_number 31
_cell_length_a 8.0742
_cell_length_b 5.9771
_cell_length_c 5.5002
_cell_angle_alpha 90.00
_cell_angle_beta 90.00
_cell_angle_gamma 90.00
loop_
_symmetry_equiv_pos_as_xyz
'x,y,z'
'-x+1/2,-y,z+1/2'
'-x,y,z'
'x+1/2,-y,z+1/2'
loop_
_atom_site_label
_atom_site_fract_x
_atom_site_fract_y
_atom_site_fract_z
Ho1 0.0000 0.1679 0.0000
Zn1 0.0000 0.8364 0.4888
Sn1 0.2493 0.7188 0.9784
O1 0.0000 0.2738 0.6134
O2 0.0000 0.8006 0.8401
O3 0.1807 0.9484 0.2720
O4 0.1864 0.4159 0.1362
```

---

# Sr2HoUO6
Simulated X-ray powder pattern, copper Kα. Input: a GGA-PBE-relaxed structure.

The 10 most intense peaks (10° ≤ 2θ ≤ 80°), in order of rising 2θ:
2theta, I/Imax, index
17.7, 32, 1 1 1
20.5, 253, 2 0 0
29.1, 1000, 2 2 0
41.6, 296, 4 0 0
46.8, 118, 4 2 0
51.6, 422, 4 2 2
60.4, 191, 4 4 0
64.4, 57, 6 0 0
68.4, 188, 6 2 0
76.0, 64, 4 4 4

Crystal structure
```
data_Sr2HoUO6
_chemical_formula_sum 'Sr8 Ho4 U4 O24'
_symmetry_space_group_name_H-M 'F m -3 m'
_symmetry_Int_Tables_number 225
_symmetry_space_group_name_Hall '-F 4 2 3'
_cell_length_a 8.6760
_cell_length_b 8.6760
_cell_length_c 8.6760
_cell_angle_alpha 90.00
_cell_angle_beta 90.00
_cell_angle_gamma 90.00
loop_
_atom_site_label
_atom_site_fract_x
_atom_site_fract_y
_atom_site_fract_z
Sr1 0.2500 0.2500 0.2500
Ho1 0.0000 0.0000 0.0000
U1 0.0000 0.0000 0.5000
O1 0.0000 0.0000 0.2541
```

---

# HoTa3O9
Simulated X-ray powder pattern, copper Kα. Input: a GGA-PBE-relaxed structure.

The 10 most intense peaks (10° ≤ 2θ ≤ 80°), in order of rising 2θ:
2theta, I/Imax, index
23.6, 632, 0 2 0
26.7, 1000, 1 0 -2
27.9, 729, 1 0 2
29.2, 554, 1 2 0
30.8, 465, 1 2 -1
31.4, 873, 1 2 1
33.9, 552, 2 0 0
35.9, 364, 1 2 -2
40.4, 376, 0 2 3
54.8, 397, 2 2 3

Crystal structure
```
data_HoTa3O9
_chemical_formula_sum 'Ho2 Ta6 O18'
_symmetry_space_group_name_H-M 'P 1 21/m 1'
_symmetry_Int_Tables_number 11
_cell_length_a 5.2872
_cell_length_b 7.5261
_cell_length_c 8.3255
_cell_angle_alpha 90.00
_cell_angle_beta 92.66
_cell_angle_gamma 90.00
loop_
_symmetry_equiv_pos_as_xyz
'x,y,z'
'-x,-y,-z'
'-x,y+1/2,-z'
'x,-y+1/2,z'
loop_
_atom_site_label
_atom_site_fract_x
_atom_site_fract_y
_atom_site_fract_z
Ho1 0.0362 0.2500 0.4352
Ta1 0.0000 0.0000 0.0000
Ta2 0.4691 0.0062 0.6950
O1 0.0934 0.2500 0.9775
O2 0.1471 0.5652 0.7843
O3 0.2566 0.5433 0.4679
O4 0.3267 0.5517 0.1211
O5 0.3353 0.2500 0.6535
O6 0.4191 0.2500 0.3157
```

---

# Ho3TaO7
Simulated X-ray powder pattern, copper Kα. Input: a GGA-PBE-relaxed structure.

The 10 most intense peaks (10° ≤ 2θ ≤ 80°), in order of rising 2θ:
2theta, I/Imax, index
29.3, 1000, 2 0 1
29.9, 959, 0 4 1
33.5, 231, 0 0 2
34.7, 455, 2 4 0
49.0, 769, 4 0 0
50.7, 149, 0 8 0
57.2, 145, 2 0 3
57.6, 131, 0 4 3
58.5, 292, 4 4 1
59.6, 266, 2 8 1

Crystal structure
```
data_Ho3TaO7
_chemical_formula_sum 'Ho12 Ta4 O28'
_symmetry_space_group_name_H-M 'C m m e'
_symmetry_Int_Tables_number 67
_symmetry_space_group_name_Hall '-C 2a 2'
_cell_length_a 7.4309
_cell_length_b 14.4082
_cell_length_c 5.3572
_cell_angle_alpha 90.00
_cell_angle_beta 90.00
_cell_angle_gamma 90.00
loop_
_atom_site_label
_atom_site_fract_x
_atom_site_fract_y
_atom_site_fract_z
Ho1 0.0000 0.1202 0.0286
Ho2 0.2500 0.2500 0.5000
Ta1 0.2500 0.0000 0.5000
O1 0.0000 0.0131 0.2885
O2 0.0000 0.2500 0.2586
O3 0.2177 0.1200 0.7363
```

---

# HoTaO4
Simulated X-ray powder pattern, copper Kα. Input: a GGA-PBE-relaxed structure.

The 10 most intense peaks (10° ≤ 2θ ≤ 80°), in order of rising 2θ:
2theta, I/Imax, index
28.2, 1000, 0 2 1
30.2, 832, 2 2 -1
32.5, 223, 0 4 0
33.7, 244, 2 0 0
35.4, 190, 2 0 -2
47.1, 178, 0 0 2
47.5, 248, 2 4 0
48.8, 239, 2 4 -2
55.8, 162, 2 2 1
58.2, 131, 2 2 -3

Crystal structure
```
data_HoTaO4
_chemical_formula_sum 'Ho4 Ta4 O16'
_symmetry_space_group_name_H-M 'C 1 2/c 1'
_symmetry_Int_Tables_number 15
_cell_length_a 7.0206
_cell_length_b 11.0343
_cell_length_c 5.0910
_cell_angle_alpha 90.00
_cell_angle_beta 130.75
_cell_angle_gamma 90.00
loop_
_symmetry_equiv_pos_as_xyz
'x,y,z'
'-x,-y,-z'
'-x,y,-z+1/2'
'x,-y,z+1/2'
'x+1/2,y+1/2,z'
'-x+1/2,-y+1/2,-z'
'-x+1/2,y+1/2,-z+1/2'
'x+1/2,-y+1/2,z+1/2'
loop_
_atom_site_label
_atom_site_fract_x
_atom_site_fract_y
_atom_site_fract_z
Ho1 0.0000 0.1314 0.2500
Ta1 0.0000 0.3982 0.7500
O1 0.1580 0.2903 0.6591
O2 0.2450 0.4684 0.2140
```

---

# HoTaO4
Simulated X-ray powder pattern, copper Kα. Input: a GGA-PBE-relaxed structure.

The 10 most intense peaks (10° ≤ 2θ ≤ 80°), in order of rising 2θ:
2theta, I/Imax, index
28.0, 1000, 1 1 -1
30.4, 809, 1 1 1
32.5, 203, 0 2 0
33.9, 248, 0 0 2
35.2, 193, 2 0 0
46.6, 168, 2 0 -2
47.7, 222, 0 2 2
48.6, 221, 2 2 0
55.7, 163, 1 1 -3
57.5, 135, 3 1 -1

Crystal structure
```
data_HoTaO4
_chemical_formula_sum 'Ho2 Ta2 O8'
_symmetry_space_group_name_H-M 'P 1 2/c 1'
_symmetry_Int_Tables_number 13
_cell_length_a 5.1380
_cell_length_b 5.5054
_cell_length_c 5.3262
_cell_angle_alpha 90.00
_cell_angle_beta 96.48
_cell_angle_gamma 90.00
loop_
_symmetry_equiv_pos_as_xyz
'x,y,z'
'-x,-y,-z'
'-x,y,-z+1/2'
'x,-y,z+1/2'
loop_
_atom_site_label
_atom_site_fract_x
_atom_site_fract_y
_atom_site_fract_z
Ho1 0.0000 0.2323 0.2500
Ta1 0.5000 0.3062 0.7500
O1 0.2488 0.0850 0.5992
O2 0.2680 0.4349 0.9961
```

---

# HoTaO4
Simulated X-ray powder pattern, copper Kα. Input: a GGA-PBE-relaxed structure.

The 10 most intense peaks (10° ≤ 2θ ≤ 80°), in order of rising 2θ:
2theta, I/Imax, index
30.1, 1000, 1 0 1
34.1, 119, 0 0 2
35.3, 212, 1 1 0
49.9, 337, 1 1 2
50.9, 161, 2 0 0
58.6, 155, 1 0 3
60.3, 284, 2 1 1
62.7, 93, 2 0 2
71.8, 26, 0 0 4
74.8, 49, 2 2 0

Crystal structure
```
data_HoTaO4
_chemical_formula_sum 'Ho1 Ta1 O4'
_symmetry_space_group_name_H-M 'P 4/m m m'
_symmetry_Int_Tables_number 123
_symmetry_space_group_name_Hall '-P 4 2'
_cell_length_a 3.5911
_cell_length_b 3.5911
_cell_length_c 5.2585
_cell_angle_alpha 90.00
_cell_angle_beta 90.00
_cell_angle_gamma 90.00
loop_
_atom_site_label
_atom_site_fract_x
_atom_site_fract_y
_atom_site_fract_z
Ho1 0.0000 0.0000 0.0000
Ta1 0.5000 0.5000 0.5000
O1 0.0000 0.5000 0.2734
```

---

# Ho3TaO7
Simulated X-ray powder pattern, copper Kα. Input: a GGA-PBE-relaxed structure.

The 10 most intense peaks (10° ≤ 2θ ≤ 80°), in order of rising 2θ:
2theta, I/Imax, index
28.9, 897, 1 1 -2
29.3, 1000, 2 1 0
32.9, 253, 0 2 0
33.2, 242, 1 0 2
34.9, 215, 3 0 -2
47.4, 311, 1 2 2
48.7, 213, 3 2 -2
49.5, 155, 4 0 0
56.5, 131, 2 3 0
57.2, 153, 3 1 2

Crystal structure
```
data_Ho3TaO7
_chemical_formula_sum 'Ho6 Ta2 O14'
_symmetry_space_group_name_H-M 'P 1 c 1'
_symmetry_Int_Tables_number 7
_cell_length_a 8.1115
_cell_length_b 5.4438
_cell_length_c 7.5322
_cell_angle_alpha 90.00
_cell_angle_beta 114.79
_cell_angle_gamma 90.00
loop_
_symmetry_equiv_pos_as_xyz
'x,y,z'
'x,-y,z+1/2'
loop_
_atom_site_label
_atom_site_fract_x
_atom_site_fract_y
_atom_site_fract_z
Ho1 0.0000 0.0062 0.0000
Ho2 0.2365 0.4706 0.9083
Ho3 0.7623 0.4634 0.5875
Ta1 0.5000 0.0086 0.2399
O1 0.0018 0.2128 0.7488
O2 0.1729 0.3108 0.1506
O3 0.2926 0.1977 0.6385
O4 0.4967 0.2619 0.0605
O5 0.5231 0.2038 0.4560
O6 0.7117 0.1951 0.8589
O7 0.8703 0.3361 0.3563
```

---

# Ho3TaO7
Simulated X-ray powder pattern, copper Kα. Input: a GGA-PBE-relaxed structure.

The 10 most intense peaks (10° ≤ 2θ ≤ 80°), in order of rising 2θ:
2theta, I/Imax, index
29.1, 1000, 2 2 0
29.4, 1000, 0 2 2
33.8, 484, 2 0 2
34.1, 229, 0 4 0
48.1, 117, 4 0 0
48.8, 545, 2 4 2
49.0, 160, 0 0 4
57.4, 225, 4 2 2
58.0, 397, 2 2 4
58.2, 127, 0 6 2

Crystal structure
```
data_Ho3TaO7
_chemical_formula_sum 'Ho12 Ta4 O28'
_symmetry_space_group_name_H-M 'C 2 2 21'
_symmetry_Int_Tables_number 20
_cell_length_a 7.5635
_cell_length_b 10.5161
_cell_length_c 7.4406
_cell_angle_alpha 90.00
_cell_angle_beta 90.00
_cell_angle_gamma 90.00
loop_
_symmetry_equiv_pos_as_xyz
'x,y,z'
'-x,-y,z+1/2'
'x,-y,-z'
'-x,y,-z+1/2'
'x+1/2,y+1/2,z'
'-x+1/2,-y+1/2,z+1/2'
'x+1/2,-y+1/2,-z'
'-x+1/2,y+1/2,-z+1/2'
loop_
_atom_site_label
_atom_site_fract_x
_atom_site_fract_y
_atom_site_fract_z
Ho1 0.0386 0.0000 0.0000
Ho2 0.2323 0.2675 0.7591
Ta1 0.0024 0.5000 0.0000
O1 0.0000 0.1287 0.2500
O2 0.0000 0.1401 0.7500
O3 0.0000 0.4304 0.7500
O4 0.1784 0.3705 0.0456
O5 0.2062 0.3770 0.4757
```

---

# HoTa3O9
Simulated X-ray powder pattern, copper Kα. Input: a GGA-PBE-relaxed structure.

The 10 most intense peaks (10° ≤ 2θ ≤ 80°), in order of rising 2θ:
2theta, I/Imax, index
23.3, 609, 0 2 0
27.3, 374, 0 2 2
28.1, 758, 1 2 1
28.4, 503, 0 0 4
31.1, 1000, 2 0 2
31.6, 312, 1 0 4
34.7, 544, 1 2 3
47.7, 362, 0 4 0
58.0, 372, 2 4 2
61.7, 288, 3 2 5

Crystal structure
```
data_HoTa3O9
_chemical_formula_sum 'Ho4 Ta12 O36'
_symmetry_space_group_name_H-M 'P n m a'
_symmetry_Int_Tables_number 62
_cell_length_a 6.4639
_cell_length_b 7.6334
_cell_length_c 12.5864
_cell_angle_alpha 90.00
_cell_angle_beta 90.00
_cell_angle_gamma 90.00
loop_
_symmetry_equiv_pos_as_xyz
'x,y,z'
'-x,-y,-z'
'-x+1/2,-y,z+1/2'
'x+1/2,y,-z+1/2'
'x+1/2,-y+1/2,-z+1/2'
'-x+1/2,y+1/2,z+1/2'
'-x,y+1/2,-z'
'x,-y+1/2,z'
loop_
_atom_site_label
_atom_site_fract_x
_atom_site_fract_y
_atom_site_fract_z
Ho1 0.0562 0.2500 0.0366
Ta1 0.0000 0.0000 0.5000
Ta2 0.2049 0.0030 0.7871
O1 0.0162 0.0429 0.6571
O2 0.0796 0.7500 0.5253
O3 0.1034 0.0370 0.1676
O4 0.1645 0.2500 0.8300
O5 0.2037 0.7500 0.8043
O6 0.2053 0.5356 0.9633
```

---

# TbHoO3
Simulated X-ray powder pattern, copper Kα. Input: a GGA-PBE-relaxed structure.

The 10 most intense peaks (10° ≤ 2θ ≤ 80°), in order of rising 2θ:
2theta, I/Imax, index
30.0, 216, 2 0 0
30.4, 1000, 1 2 1
31.4, 214, 0 0 2
42.9, 115, 0 4 0
44.0, 179, 2 0 2
53.2, 107, 2 4 0
53.5, 151, 3 2 1
54.1, 114, 0 4 2
55.3, 230, 1 2 3
63.1, 109, 2 4 2

Crystal structure
```
data_TbHoO3
_chemical_formula_sum 'Tb4 Ho4 O12'
_symmetry_space_group_name_H-M 'P n m a'
_symmetry_Int_Tables_number 62
_cell_length_a 5.9521
_cell_length_b 8.4353
_cell_length_c 5.6919
_cell_angle_alpha 90.00
_cell_angle_beta 90.00
_cell_angle_gamma 90.00
loop_
_symmetry_equiv_pos_as_xyz
'x,y,z'
'-x,-y,-z'
'-x+1/2,-y,z+1/2'
'x+1/2,y,-z+1/2'
'x+1/2,-y+1/2,-z+1/2'
'-x+1/2,y+1/2,z+1/2'
'-x,y+1/2,-z'
'x,-y+1/2,z'
loop_
_atom_site_label
_atom_site_fract_x
_atom_site_fract_y
_atom_site_fract_z
Tb1 0.0517 0.2500 0.0170
Ho1 0.0000 0.0000 0.5000
O1 0.0795 0.7500 0.3520
O2 0.1852 0.5780 0.8183
```